Entry 1:
This entry pairs a crystal structure of K4MgAu3 with its calculated powder X-ray diffraction pattern. Radiation: copper Kα. Structure: a structure optimized by DFT (PBE).
Neutral-atom scattering factors, no anomalous dispersion.

Most intense lines, 15° ≤ 2θ ≤ 90°, low angle first:
two_theta, I_rel
21.4, 89
21.6, 99
28.9, 100
30.7, 38
31.7, 37
35.1, 35
39.1, 28
40.3, 44
41.1, 60
59.0, 35

Structure:
abc: 13.019 13.019 5.940
angles: 90.00 90.00 90.00
Space group I4/mcm (No. 140)
One atom of each set of equivalent atoms:
K  0.088  0.223  0.000 (multiplicity 16)
Mg  0.000  0.500  0.250 (multiplicity 4)
Au  0.000  0.000  0.250 (multiplicity 4)
Au  0.130  0.370  0.500 (multiplicity 8)

=====

Entry 2:
This entry pairs a crystal structure of KMg2Au3 with its calculated powder X-ray diffraction pattern. Radiation: copper Kα. Structure: a structure optimized by DFT (PBE).
Neutral-atom scattering factors, no anomalous dispersion.

Most intense lines, 15° ≤ 2θ ≤ 90°, low angle first:
two_theta, I_rel
26.1, 100
30.7, 24
32.1, 33
35.7, 75
37.3, 76
41.8, 67
50.0, 39
53.7, 27
66.2, 25
70.3, 30

Structure:
abc: 3.412 3.412 11.158
angles: 90.00 90.00 90.00
Space group P4/mmm (No. 123)
One atom of each set of equivalent atoms:
K  0.000  0.000  0.000 (multiplicity 1)
Mg  0.000  0.000  0.355 (multiplicity 2)
Au  0.500  0.500  0.227 (multiplicity 2)
Au  0.500  0.500  0.500 (multiplicity 1)

=====

Entry 3:
This entry pairs a crystal structure of K2MgAu with its calculated powder X-ray diffraction pattern. Radiation: copper Kα. Structure: a structure optimized by DFT (PBE).
Neutral-atom scattering factors, no anomalous dispersion.

Most intense lines, 15° ≤ 2θ ≤ 90°, low angle first:
two_theta, I_rel
18.4, 73
18.8, 35
23.5, 28
26.4, 100
27.2, 60
33.2, 66
34.1, 40
34.3, 26
47.4, 26
49.2, 28

Structure:
abc: 5.227 4.719 6.846
angles: 90.00 112.34 90.00
Space group Pm (No. 6)
One atom of each set of equivalent atoms:
K  0.000  0.000  0.000 (multiplicity 1)
K  0.297  0.500  0.595 (multiplicity 1)
Mg  0.691  0.000  0.386 (multiplicity 1)
Au  0.591  0.500  0.183 (multiplicity 1)

=====

Entry 4:
This entry pairs a crystal structure of KNa6Au4 with its calculated powder X-ray diffraction pattern. Radiation: copper Kα. Structure: a structure optimized by DFT (PBE).
Neutral-atom scattering factors, no anomalous dispersion.

Most intense lines, 15° ≤ 2θ ≤ 90°, low angle first:
two_theta, I_rel
22.0, 100
24.3, 52
28.0, 23
32.3, 35
37.2, 24
37.4, 68
41.4, 60
44.6, 19
44.9, 21
50.1, 20

Structure:
abc: 8.4618 8.4618 4.8359
angles: 90.00 90.00 120.00
Space group P-6m2 (No. 187)
One atom of each set of equivalent atoms:
K  0.0000  0.0000  0.0000 (multiplicity 1)
Na  0.0678  0.5339  0.0000 (multiplicity 3)
Na  0.3937  0.1969  0.5000 (multiplicity 3)
Au  0.2175  0.4349  0.5000 (multiplicity 3)
Au  0.6667  0.3333  0.0000 (multiplicity 1)

=====

Number 3 is which compound? K2MgAu